Ba2TlWO5: calculated powder diffraction line list (Cu Kα (weighted mean of Kα1 and Kα2)), based on a cell relaxed with GGA+U.
Peak positions follow from Bragg's law for the DFT cell and can differ from measured ones.

a b c (Å): 4.143 6.638 12.015
angles (deg): 90.00 90.00 90.00
Space group Immm (No. 71)
One atom of each set of equivalent atoms:
Ba 0.000 0.000 0.226 (multiplicity 4)
Tl 0.000 0.500 0.000 (multiplicity 2)
W 0.000 0.500 0.500 (multiplicity 2)
O 0.000 0.000 0.000 (multiplicity 2)
O 0.000 0.289 0.379 (multiplicity 8)

Peak list (10 most intense, 2θ from 10° to 80°, in order of rising 2θ)
(0 2 0), 26.86 deg, I = 29.9; (1 1 2), 29.44 deg, I = 100.0; (0 0 4), 29.74 deg, I = 19.1; (0 2 4), 40.50 deg, I = 25.1; (2 0 0), 43.69 deg, I = 11.8; (1 3 2), 49.08 deg, I = 24.4; (2 2 0), 52.04 deg, I = 10.1; (1 1 6), 52.60 deg, I = 14.6; (2 2 4), 61.09 deg, I = 14.5; (3 1 2), 71.52 deg, I = 8.2